Diffraction record for Ac3Ce. The XRD peak list is simulated, not measured: it uses a GGA-PBE-relaxed structure and CuKα.
Intensities are scaled so that the largest is 100.

Principal peaks in the range 2θ from 15° to 90°, by angle:
d (Å)	2theta	I (rel.)
3.400	26.2	23
3.175	28.1	26
2.997	29.8	100
2.320	38.8	17
1.963	46.3	20
1.797	50.8	23
1.669	55.0	25
1.642	56.0	17
1.259	75.5	15
1.098	89.2	10

Crystal structure
```
Ac3Ce
1.0
7.851 0.000 0.000
-3.926 6.800 0.000
0.000 0.000 6.349
Ac Ce
6 2
direct
0.169 0.338 0.250
0.169 0.831 0.250
0.338 0.169 0.750
0.662 0.831 0.250
0.831 0.169 0.750
0.831 0.662 0.750
0.333 0.667 0.750
0.667 0.333 0.250
```

Diffraction record for Ac3Ce. The XRD peak list is simulated, not measured: it uses a GGA-PBE-relaxed structure and CuKα.
Intensities are scaled so that the largest is 100.

Principal peaks in the range 2θ from 15° to 90°, by angle:
d (Å)	2theta	I (rel.)
5.412	16.4	3
3.125	28.6	100
2.706	33.1	51
1.914	47.5	38
1.632	56.4	46
1.562	59.1	13
1.353	69.5	6
1.242	76.8	19
1.210	79.1	18
1.105	88.5	14

Crystal structure
```
Ac3Ce
1.0
5.412 0.000 0.000
0.000 5.412 0.000
0.000 0.000 5.412
Ac Ce
3 1
direct
0.000 0.000 0.500
0.000 0.500 0.000
0.500 0.000 0.000
0.500 0.500 0.500
```

Diffraction record for AcCeMg2. The XRD peak list is simulated, not measured: it uses a GGA-PBE-relaxed structure and CuKα.
Intensities are scaled so that the largest is 100.

Principal peaks in the range 2θ from 15° to 90°, by angle:
d (Å)	2theta	I (rel.)
4.035	22.0	66
2.853	31.4	100
2.330	38.6	21
2.018	44.9	19
1.805	50.6	30
1.647	55.8	40
1.427	65.4	12
1.345	69.9	15
1.276	74.3	17
1.217	78.6	9

Crystal structure
```
AcCeMg2
1.0
0.000 4.035 4.035
4.035 0.000 4.035
4.035 4.035 0.000
Ac Ce Mg
1 1 2
direct
0.000 0.000 0.000
0.500 0.500 0.500
0.250 0.250 0.250
0.750 0.750 0.750
```